Simulated powder XRD pattern
Compound: Sc2Ni2H6Pd
Radiation: Cu Ka
Structure: a cell relaxed with GGA-PBE
Neutral-atom scattering factors, no anomalous dispersion.

Crystal structure
```
Sc2Ni2H6Pd
1.0
2.3358 1.3486 5.0413
-2.3358 1.3486 5.0413
0.0000 -2.6971 5.0413
Sc Ni H Pd
2 2 6 1
Direct
0.2265 0.2265 0.2265
0.7735 0.7735 0.7735
0.3991 0.3991 0.3991
0.6009 0.6009 0.6009
0.1976 0.7455 0.7455
0.2545 0.2545 0.8024
0.2545 0.8024 0.2545
0.7454 0.1976 0.7454
0.7454 0.7455 0.1976
0.8024 0.2546 0.2545
0.0000 0.0000 0.0000
```

Top 12 peaks for 2θ from 10° to 80°, in order of rising 2θ:
- 17.59°, rel. 26
- 24.96°, rel. 12
- 32.41°, rel. 8
- 37.11°, rel. 92
- 38.54°, rel. 100
- 42.66°, rel. 18
- 53.50°, rel. 14
- 54.58°, rel. 31
- 65.93°, rel. 12
- 67.86°, rel. 6
- 68.80°, rel. 30
- 69.73°, rel. 16

---

Simulated powder XRD pattern
Compound: PmSmNi2H8
Radiation: Cu Ka
Structure: a cell relaxed with GGA-PBE
Neutral-atom scattering factors, no anomalous dispersion.

Crystal structure
```
PmSmNi2H8
1.0
2.2704 1.3108 6.2192
-2.2704 1.3108 6.2192
0.0000 -2.6216 6.2192
Pm Sm Ni H
1 1 2 8
Direct
0.0000 0.0000 0.0000
0.5000 0.5000 0.5000
0.2611 0.2611 0.2611
0.7389 0.7389 0.7389
0.0444 0.0444 0.5844
0.0444 0.5844 0.0444
0.3474 0.3474 0.3474
0.4156 0.9556 0.9556
0.5844 0.0444 0.0444
0.6526 0.6526 0.6526
0.9556 0.4156 0.9556
0.9556 0.9556 0.4156
```

Top 12 peaks for 2θ from 10° to 80°, in order of rising 2θ:
- 24.57°, rel. 24
- 28.71°, rel. 6
- 29.72°, rel. 100
- 39.70°, rel. 48
- 45.20°, rel. 30
- 49.72°, rel. 9
- 50.36°, rel. 23
- 61.71°, rel. 11
- 65.96°, rel. 20
- 72.05°, rel. 8
- 73.87°, rel. 12
- 75.91°, rel. 12

---

Simulated powder XRD pattern
Compound: SrPmNi2H8
Radiation: Cu Ka
Structure: a cell relaxed with GGA-PBE
Neutral-atom scattering factors, no anomalous dispersion.

Crystal structure
```
SrPmNi2H8
1.0
2.3429 1.3527 6.3795
-2.3429 1.3527 6.3795
0.0000 -2.7053 6.3795
Sr Pm Ni H
1 1 2 8
Direct
0.0000 0.0000 0.0000
0.5000 0.5000 0.5000
0.2286 0.2286 0.2286
0.7714 0.7714 0.7714
0.0759 0.5603 0.5603
0.1458 0.1458 0.1458
0.4397 0.4397 0.9241
0.4397 0.9241 0.4397
0.5603 0.0759 0.5603
0.5603 0.5603 0.0759
0.8542 0.8542 0.8542
0.9241 0.4397 0.4397
```

Top 12 peaks for 2θ from 10° to 80°, in order of rising 2θ:
- 13.88°, rel. 19
- 23.82°, rel. 15
- 28.85°, rel. 100
- 38.42°, rel. 52
- 39.75°, rel. 9
- 43.93°, rel. 24
- 48.19°, rel. 9
- 48.75°, rel. 23
- 59.76°, rel. 9
- 63.72°, rel. 20
- 69.49°, rel. 9
- 73.32°, rel. 10